For CaCe2Ag2Ge2, a GGA-PBE-relaxed structure gives the simulated X-ray diffraction stick pattern in this record (Cu Ka).

```
7
Lattice="2.258 1.304 9.132 -2.258 1.304 9.132 0.000 -2.608 9.132" Properties=species:S:1:pos:R:3 pbc="T T T"
Ca 0.000 0.000 0.000
Ce 0.000 0.000 3.861
Ce 0.000 0.000 23.536
Ag 0.000 0.000 11.131
Ag 0.000 0.000 16.266
Ge 0.000 0.000 7.066
Ge 0.000 0.000 20.331
```

Most intense lines, 2θ from 5° to 70°, by angle:
d/Å  Position (°2θ)  I (rel.)
9.132  9.68  36
3.397  26.24  32
2.767  32.36  91
2.577  34.82  42
2.258  39.92  100
2.101  43.06  22
1.750  52.29  24
1.420  65.76  26